[1]
Structure and calculated powder diffraction line list of Ca3Ho3TmSe8 (a PBE-relaxed structure; Cu Kα, 1.54184 Å).

Structural model:
```
Ca3Ho3TmSe8
1.0
4.0804 2.3558 6.8263
-4.0804 2.3558 6.8263
0.0000 -4.7116 6.8263
Ca Ho Tm Se
3 3 1 8
Direct
0.0000 0.5000 0.5000 Ca
0.5000 0.0000 0.5000 Ca
0.5000 0.5000 0.0000 Ca
0.0000 0.0000 0.5000 Ho
0.0000 0.5000 0.0000 Ho
0.5000 0.0000 0.0000 Ho
0.5000 0.5000 0.5000 Tm
0.2479 0.2479 0.2479 Se
0.2476 0.7458 0.7458 Se
0.2542 0.2542 0.7524 Se
0.2542 0.7524 0.2542 Se
0.7458 0.2476 0.7458 Se
0.7458 0.7458 0.2476 Se
0.7524 0.2542 0.2542 Se
0.7521 0.7521 0.7521 Se
```

Peak list (6 most intense, 2θ from 10° to 90°, sorted by position)
2θ = 12.97°, rel. 39.1; 2θ = 25.58°, rel. 20.6; 2θ = 30.74°, rel. 100.0; 2θ = 43.66°, rel. 37.3; 2θ = 44.40°, rel. 36.0; 2θ = 54.98°, rel. 18.9

---

[2]
Structure and calculated powder diffraction line list of PbI2 (a PBE-relaxed structure; Cu Kα, 1.54184 Å).

Structural model:
```
PbI2
1.0
2.3282 1.3442 7.5209
-2.3282 1.3442 7.5209
0.0000 -2.6884 7.5209
Pb I
1 2
Direct
0.0000 0.0000 0.0000 Pb
0.2505 0.2505 0.2505 I
0.7495 0.7495 0.7495 I
```

Peak list (6 most intense, 2θ from 10° to 90°, sorted by position)
2θ = 11.77°, rel. 45.2; 2θ = 22.40°, rel. 31.5; 2θ = 27.18°, rel. 100.0; 2θ = 38.67°, rel. 39.4; 2θ = 38.97°, rel. 38.6; 2θ = 47.91°, rel. 21.4

---

[3]
Structure and calculated powder diffraction line list of NbV2Pt3 (a PBE-relaxed structure; Cu Kα, 1.54184 Å).

Structural model:
```
NbV2Pt3
1.0
2.7475 0.0000 0.0000
0.0000 2.7475 0.0000
0.0000 0.0000 11.9576
Nb V Pt
1 2 3
Direct
0.0000 0.0000 0.0000 Nb
0.0000 0.0000 0.3383 V
0.0000 0.0000 0.6617 V
0.5000 0.5000 0.1799 Pt
0.5000 0.5000 0.5000 Pt
0.5000 0.5000 0.8201 Pt
```

Peak list (6 most intense, 2θ from 10° to 90°, sorted by position)
2θ = 22.30°, rel. 25.0; 2θ = 32.59°, rel. 21.3; 2θ = 39.85°, rel. 100.0; 2θ = 46.76°, rel. 32.7; 2θ = 67.31°, rel. 19.1; 2θ = 82.07°, rel. 24.5

---

[4]
Structure and calculated powder diffraction line list of TlTeS2I (a PBE-relaxed structure; Cu Kα, 1.54184 Å).

Structural model:
```
TlTeS2I
1.0
6.9257 0.0000 0.0000
0.0000 5.5225 0.0000
-3.0314 0.0000 8.7032
Tl Te S I
2 2 4 2
Direct
0.2416 0.2500 0.4702 Tl
0.7584 0.7500 0.5298 Tl
0.1254 0.2500 0.9060 Te
0.8746 0.7500 0.0940 Te
0.0951 0.7500 0.3474 S
0.1113 0.7500 0.9439 S
0.8887 0.2500 0.0561 S
0.9049 0.2500 0.6526 S
0.4251 0.7500 0.7390 I
0.5749 0.2500 0.2610 I
```

Peak list (6 most intense, 2θ from 10° to 90°, sorted by position)
2θ = 21.05°, rel. 54.5; 2θ = 25.34°, rel. 91.8; 2θ = 26.10°, rel. 100.0; 2θ = 28.23°, rel. 76.9; 2θ = 32.42°, rel. 71.7; 2θ = 43.49°, rel. 74.5